# HfFe2O4
Simulated X-ray powder pattern, Cu Kα (λ = 1.5418 Å). Input: a structure optimized by DFT (PBE+U).
Kinematic intensities with the Lorentz-polarization factor, no thermal factor.

Largest 8 diffraction maxima, most intense first, 15° ≤ 2θ ≤ 90°:
2θ (°), Rel. int.
33.56, 100
24.15, 48
16.18, 39
32.24, 31
32.48, 30
58.33, 25
46.41, 23
58.63, 18

Crystal structure
```
data_HfFe2O4
_chemical_formula_sum 'Hf4 Fe8 O16'
_symmetry_space_group_name_H-M 'P b c a'
_symmetry_Int_Tables_number 61
_symmetry_space_group_name_Hall '-P 2ac 2ab'
_cell_length_a 5.5139
_cell_length_b 10.9591
_cell_length_c 5.5537
_cell_angle_alpha 90.00
_cell_angle_beta 90.00
_cell_angle_gamma 90.00
loop_
_atom_site_label
_atom_site_type_symbol
_atom_site_fract_x
_atom_site_fract_y
_atom_site_fract_z
_atom_site_occupancy
Hf1 Hf 0.0000 0.0000 0.0000 1
Fe1 Fe 0.0515 0.1597 0.4679 1
O1 O 0.0742 0.6779 0.3885 1
O2 O 0.1718 0.5436 0.8304 1
```